Entry 1:
The following is a simulated X-ray powder pattern of Sr7Zn6. It was derived from a structure optimized by DFT (PBE), using CuKα.
Neutral-atom scattering factors, no anomalous dispersion.

Principal peaks in the range 10° ≤ 2θ ≤ 90°, by angle:
2θ/deg, d (Å), I/Imax
20.8, 4.275, 85
24.3, 3.663, 100
25.1, 3.551, 62
29.9, 2.989, 85
30.0, 2.979, 50
32.1, 2.784, 27
34.8, 2.575, 75
37.9, 2.376, 28
42.3, 2.138, 88
42.5, 2.125, 40

a b c (Å): 8.5501 8.5501 25.0839
angles (deg): 90.00 90.00 120.00
Space group R-3m (No. 166, hexagonal axes)
One atom of each set of equivalent atoms:
Sr: 0.0000 0.0000 0.0000
Sr: 0.0403 0.5202 0.4220
Zn: 0.0000 0.0000 0.1448
Zn: 0.0000 0.0000 0.3481
Zn: 0.0000 0.0000 0.4492

Entry 2:
The following is a simulated X-ray powder pattern of Sr2Zn3. It was derived from a structure optimized by DFT (PBE), using CuKα.
Neutral-atom scattering factors, no anomalous dispersion.

Principal peaks in the range 10° ≤ 2θ ≤ 90°, by angle:
2θ/deg, d (Å), I/Imax
27.4, 3.255, 58
30.9, 2.896, 100
34.1, 2.628, 33
35.4, 2.539, 58
37.5, 2.400, 60
38.4, 2.347, 45
54.2, 1.692, 25
56.2, 1.636, 20
56.8, 1.621, 34
60.1, 1.538, 23

a b c (Å): 5.607 11.041 8.577
angles (deg): 90.00 90.00 90.00
Space group Cmce (No. 64)
One atom of each set of equivalent atoms:
Sr: 0.000 0.162 0.097
Zn: 0.000 0.000 0.500
Zn: 0.250 0.086 0.750

Entry 3:
The following is a simulated X-ray powder pattern of Sr2Zn3. It was derived from a structure optimized by DFT (PBE), using CuKα.
Neutral-atom scattering factors, no anomalous dispersion.

Principal peaks in the range 10° ≤ 2θ ≤ 90°, by angle:
2θ/deg, d (Å), I/Imax
30.0, 2.983, 100
30.2, 2.955, 69
32.6, 2.750, 32
37.2, 2.416, 44
39.2, 2.295, 36
41.9, 2.156, 29
43.0, 2.104, 21
50.3, 1.813, 32
57.3, 1.608, 24
58.8, 1.571, 21

a b c (Å): 4.311 28.412 4.591
angles (deg): 90.00 90.00 90.00
Space group Cmcm (No. 63)
One atom of each set of equivalent atoms:
Sr: 0.000 0.069 0.250
Sr: 0.000 0.203 0.750
Zn: 0.000 0.335 0.750
Zn: 0.000 0.384 0.250
Zn: 0.000 0.477 0.250

Entry 4:
The following is a simulated X-ray powder pattern of Sr3Zn5. It was derived from a structure optimized by DFT (PBE), using CuKα.
Neutral-atom scattering factors, no anomalous dispersion.

Principal peaks in the range 10° ≤ 2θ ≤ 90°, by angle:
2θ/deg, d (Å), I/Imax
25.6, 3.477, 36
29.7, 3.008, 46
30.2, 2.964, 26
30.5, 2.935, 95
31.7, 2.820, 59
32.5, 2.759, 54
34.5, 2.598, 85
34.9, 2.573, 100
39.8, 2.262, 27
48.8, 1.867, 26

a b c (Å): 6.479 7.871 9.460
angles (deg): 84.45 70.03 73.73
Space group P1 (No. 1)
One atom of each set of equivalent atoms:
Sr: 0.000 0.000 0.000
Sr: 0.044 0.500 0.912
Sr: 0.087 0.275 0.334
Sr: 0.577 0.725 0.334
Sr: 0.621 0.500 0.756
Sr: 0.666 0.000 0.668
Zn: 0.018 0.870 0.334
Zn: 0.065 0.627 0.529
Zn: 0.135 0.174 0.663
Zn: 0.203 0.829 0.662
Zn: 0.259 0.628 0.140
Zn: 0.409 0.371 0.527
Zn: 0.463 0.173 0.006
Zn: 0.531 0.828 0.005
Zn: 0.602 0.371 0.141
Zn: 0.647 0.127 0.334

Entry 5:
The following is a simulated X-ray powder pattern of SrZn. It was derived from a structure optimized by DFT (PBE), using CuKα.
Neutral-atom scattering factors, no anomalous dispersion.

Principal peaks in the range 10° ≤ 2θ ≤ 90°, by angle:
2θ/deg, d (Å), I/Imax
13.5, 6.576, 100
19.1, 4.650, 26
27.1, 3.288, 36
30.4, 2.941, 14
33.4, 2.685, 15
36.1, 2.486, 63
41.2, 2.192, 46
61.5, 1.509, 25
71.8, 1.315, 16
75.1, 1.266, 12

a b c (Å): 9.300 9.300 9.300
angles (deg): 90.00 90.00 90.00
Space group I-43m (No. 217)
One atom of each set of equivalent atoms:
Sr: 0.207 0.207 0.793
Zn: 0.102 0.102 0.102

Entry 6:
The following is a simulated X-ray powder pattern of Sr5Zn6. It was derived from a structure optimized by DFT (PBE), using CuKα.
Neutral-atom scattering factors, no anomalous dispersion.

Principal peaks in the range 10° ≤ 2θ ≤ 90°, by angle:
2θ/deg, d (Å), I/Imax
29.0, 3.079, 100
29.7, 3.004, 71
34.0, 2.635, 37
36.4, 2.469, 39
37.6, 2.392, 20
39.3, 2.292, 34
40.0, 2.254, 32
50.1, 1.822, 32
55.2, 1.664, 39
57.3, 1.607, 22

a b c (Å): 4.584 32.231 4.508
angles (deg): 90.00 90.00 90.00
Space group Cmmm (No. 65)
One atom of each set of equivalent atoms:
Sr: 0.000 0.000 0.000
Sr: 0.000 0.195 0.500
Sr: 0.000 0.386 0.000
Zn: 0.000 0.082 0.500
Zn: 0.000 0.272 0.000
Zn: 0.000 0.460 0.500

Entry 7:
The following is a simulated X-ray powder pattern of Sr3Zr. It was derived from a structure optimized by DFT (PBE), using CuKα.
Neutral-atom scattering factors, no anomalous dispersion.

Principal peaks in the range 10° ≤ 2θ ≤ 90°, by angle:
2θ/deg, d (Å), I/Imax
27.0, 3.303, 27
27.5, 3.240, 22
28.9, 3.084, 11
29.1, 3.065, 100
36.5, 2.463, 11
38.9, 2.313, 12
44.3, 2.046, 9
49.0, 1.858, 11
49.7, 1.835, 10
52.9, 1.730, 11

a b c (Å): 13.213 12.961 4.092
angles (deg): 90.00 90.00 90.00
Space group Cmcm (No. 63)
One atom of each set of equivalent atoms:
Sr: 0.000 0.157 0.250
Sr: 0.219 0.377 0.250
Zr: 0.000 0.417 0.750

Entry 8:
The following is a simulated X-ray powder pattern of Sr7Zr6. It was derived from a structure optimized by DFT (PBE), using CuKα.
Neutral-atom scattering factors, no anomalous dispersion.

Principal peaks in the range 10° ≤ 2θ ≤ 90°, by angle:
2θ/deg, d (Å), I/Imax
26.1, 3.413, 47
30.4, 2.942, 66
30.6, 2.918, 100
32.8, 2.729, 52
33.1, 2.709, 49
35.6, 2.522, 23
37.8, 2.382, 20
49.0, 1.860, 21
50.5, 1.808, 33
53.7, 1.706, 39

a b c (Å): 6.8254 6.8254 33.8419
angles (deg): 90.00 90.00 120.00
Space group R-3m (No. 166, hexagonal axes)
One atom of each set of equivalent atoms:
Sr: 0.0000 0.0000 0.0000
Sr: 0.0095 0.5048 0.4166
Zr: 0.0000 0.0000 0.1662
Zr: 0.0000 0.0000 0.3651
Zr: 0.0000 0.0000 0.4606